Record 1
For Rb4Zr6CCl18, a cell relaxed with PBE gives the calculated powder diffractogram in this record (Cu Ka).

Structure:
abc: 10.719 17.669 10.017
angles: 90.00 115.13 90.00
Space group C2/m (No. 12)
Inequivalent atoms, fractional coordinates:
1 Rb 0.108 0.162 0.318
2 Zr 0.122 0.500 0.857
3 Zr 0.144 0.408 0.149
4 C 0.000 0.500 0.000
5 Cl 0.000 0.295 0.000
6 Cl 0.025 0.398 0.320
7 Cl 0.180 0.000 0.673
8 Cl 0.191 0.197 0.676
9 Cl 0.205 0.102 0.992
10 Cl 0.238 0.000 0.301

Top 10 peaks for 2θ = 15–90°, most intense first:
index	2θ (°)	d [Å]	Rel. int.
2 4 1	31.66	2.826	1000
3 1 -3	31.16	2.871	727
0 0 2	19.54	4.543	567
1 5 2	35.76	2.511	549
1 3 -2	23.33	3.813	515
4 0 -4	41.36	2.183	455
1 3 0	17.62	5.035	421
2 0 -1	16.70	5.309	406
1 5 1	29.97	2.981	388
4 0 0	37.06	2.426	361


Record 2
For Li10GeP2Se12, a cell relaxed with PBE gives the calculated powder diffractogram in this record (Cu Ka).

Structure:
abc: 9.287 9.287 13.369
angles: 90.00 90.00 90.00
Space group P4_2mc (No. 105)
Inequivalent atoms, fractional coordinates:
1 Li 0.000 0.000 0.000
2 Li 0.226 0.241 0.489
3 Li 0.226 0.270 0.748
4 Li 0.500 0.500 0.394
5 Ge 0.000 0.000 0.254
6 P 0.000 0.500 0.957
7 P 0.500 0.500 0.139
8 Se 0.000 0.210 0.651
9 Se 0.000 0.215 0.356
10 Se 0.000 0.306 0.054
11 Se 0.199 0.500 0.863
12 Se 0.298 0.500 0.546
13 Se 0.303 0.500 0.232

Top 10 peaks for 2θ = 15–90°, most intense first:
index	2θ (°)	d [Å]	Rel. int.
2 0 3	27.75	3.215	1000
2 2 0	27.16	3.284	324
3 2 4	44.40	2.040	239
4 0 0	38.78	2.322	239
4 2 3	48.35	1.882	179
1 1 2	18.94	4.685	162
2 1 1	22.41	3.966	160
2 1 2	25.24	3.528	146
3 0 7	56.67	1.624	104
2 2 6	49.43	1.844	101